Structure and simulated PXRD pattern of Pa6Co5Ru (a PBE-relaxed structure; λ = 1.5418 Å (Cu Kα)).
Neutral-atom scattering factors, no anomalous dispersion.

a b c (Å): 6.599 6.599 13.030
angles (deg): 90.00 90.00 120.00
Fractional coordinates of all 24 atoms:
Pa1 0.000 0.335 0.117
Pa2 0.000 0.335 0.383
Pa3 0.000 0.665 0.617
Pa4 0.000 0.665 0.883
Pa5 0.335 0.000 0.117
Pa6 0.335 0.000 0.383
Pa7 0.335 0.335 0.617
Pa8 0.335 0.335 0.883
Pa9 0.665 0.000 0.617
Pa10 0.665 0.000 0.883
Pa11 0.665 0.665 0.117
Pa12 0.665 0.665 0.383
Co1 0.000 0.394 0.750
Co2 0.000 0.606 0.250
Co3 0.333 0.667 0.000
Co4 0.333 0.667 0.500
Co5 0.394 0.000 0.750
Co6 0.394 0.394 0.250
Co7 0.606 0.000 0.250
Co8 0.606 0.606 0.750
Co9 0.667 0.333 0.000
Co10 0.667 0.333 0.500
Ru1 0.000 0.000 0.250
Ru2 0.000 0.000 0.750

Top 10 peaks for 5 to 70 degrees two-theta, most intense first:
d/Å, Rel. int.
2.627, 100
3.198, 60
1.905, 49
2.318, 40
2.045, 23
1.644, 22
3.299, 22
3.258, 21
1.542, 19
1.621, 18